(1)
Simulated powder diffractogram of LaMg7 for Cu Kα, 1.54184 Å, from a structure optimized by DFT (PBE).

Cell and atoms:
```
data_LaMg7
_chemical_formula_sum 'La1 Mg7'
_space_group_name_H-M_alt 'P -6 m 2'
_space_group_IT_number 187
_space_group_name_Hall 'P -6 2'
_cell_length_a 6.7558
_cell_length_b 6.7558
_cell_length_c 5.2114
_cell_angle_alpha 90.00
_cell_angle_beta 90.00
_cell_angle_gamma 120.00
loop_
_atom_site_label
_atom_site_type_symbol
_atom_site_fract_x
_atom_site_fract_y
_atom_site_fract_z
La1 La 0.0000 0.0000 0.0000
Mg1 Mg 0.0110 0.5055 0.0000
Mg2 Mg 0.1738 0.3475 0.5000
Mg3 Mg 0.6667 0.3333 0.5000
```

Main lines, by angle (2θ = 10–80°):
- 15.14°, d 5.851, rel. 56
- 22.85°, d 3.892, rel. 51
- 30.56°, d 2.925, rel. 32
- 31.56°, d 2.835, rel. 21
- 34.42°, d 2.606, rel. 23
- 35.18°, d 2.551, rel. 100
- 46.68°, d 1.946, rel. 20
- 54.32°, d 1.689, rel. 18
- 62.15°, d 1.494, rel. 18
- 65.91°, d 1.417, rel. 19

***

(2)
Simulated powder diffractogram of LaMg2 for Cu Kα, 1.54184 Å, from a structure optimized by DFT (PBE).

Cell and atoms:
```
data_LaMg2
_chemical_formula_sum 'La2 Mg4'
_space_group_name_H-M_alt 'I 4/m m m'
_space_group_IT_number 139
_space_group_name_Hall '-I 4 2'
_cell_length_a 3.471
_cell_length_b 3.471
_cell_length_c 13.936
_cell_angle_alpha 90.00
_cell_angle_beta 90.00
_cell_angle_gamma 90.00
loop_
_atom_site_label
_atom_site_type_symbol
_atom_site_fract_x
_atom_site_fract_y
_atom_site_fract_z
La1 La 0.000 0.000 0.000
Mg1 Mg 0.000 0.000 0.320
```

Main lines, by angle (2θ = 10–80°):
- 12.70°, d 6.968, rel. 68
- 25.57°, d 3.484, rel. 21
- 26.46°, d 3.368, rel. 62
- 32.19°, d 2.780, rel. 100
- 36.62°, d 2.454, rel. 36
- 38.77°, d 2.323, rel. 14
- 38.91°, d 2.315, rel. 18
- 45.19°, d 2.006, rel. 18
- 54.39°, d 1.687, rel. 21
- 63.16°, d 1.472, rel. 28

***

(3)
Simulated powder diffractogram of La3Mg5 for Cu Kα, 1.54184 Å, from a structure optimized by DFT (PBE).

Cell and atoms:
```
data_La3Mg5
_chemical_formula_sum 'La6 Mg10'
_space_group_name_H-M_alt 'P -1'
_space_group_IT_number 2
_cell_length_a 5.781
_cell_length_b 9.043
_cell_length_c 9.067
_cell_angle_alpha 86.87
_cell_angle_beta 81.43
_cell_angle_gamma 81.48
loop_
_space_group_symop_operation_xyz
'x,y,z'
'-x,-y,-z'
loop_
_atom_site_label
_atom_site_type_symbol
_atom_site_fract_x
_atom_site_fract_y
_atom_site_fract_z
La1 La 0.209 0.470 0.310
La2 La 0.251 0.058 0.440
La3 La 0.289 0.192 0.033
Mg1 Mg 0.168 0.820 0.180
Mg2 Mg 0.231 0.921 0.802
Mg3 Mg 0.252 0.570 0.928
Mg4 Mg 0.271 0.698 0.582
Mg5 Mg 0.335 0.315 0.680
```

Main lines, by angle (2θ = 10–80°):
- 17.31°, d 5.123, rel. 63
- 19.72°, d 4.502, rel. 21
- 21.91°, d 4.057, rel. 48
- 22.51°, d 3.950, rel. 40
- 31.29°, d 2.859, rel. 49
- 31.63°, d 2.829, rel. 51
- 32.42°, d 2.762, rel. 69
- 32.84°, d 2.727, rel. 100
- 37.75°, d 2.383, rel. 40
- 40.58°, d 2.223, rel. 22

***

(4)
Simulated powder diffractogram of La8Mg3 for Cu Kα, 1.54184 Å, from a structure optimized by DFT (PBE).

Cell and atoms:
```
data_La8Mg3
_chemical_formula_sum 'La16 Mg6'
_space_group_name_H-M_alt 'C 1 2/m 1'
_space_group_IT_number 12
_cell_length_a 13.099
_cell_length_b 3.952
_cell_length_c 14.928
_cell_angle_alpha 90.00
_cell_angle_beta 105.31
_cell_angle_gamma 90.00
loop_
_space_group_symop_operation_xyz
'x,y,z'
'-x,-y,-z'
'-x,y,-z'
'x,-y,z'
'x+1/2,y+1/2,z'
'-x+1/2,-y+1/2,-z'
'-x+1/2,y+1/2,-z'
'x+1/2,-y+1/2,z'
loop_
_atom_site_label
_atom_site_type_symbol
_atom_site_fract_x
_atom_site_fract_y
_atom_site_fract_z
La1 La 0.040 0.000 0.327
La2 La 0.125 0.000 0.972
La3 La 0.202 0.500 0.792
La4 La 0.210 0.000 0.589
Mg1 Mg 0.000 0.500 0.500
Mg2 Mg 0.076 0.500 0.150
```

Main lines, by angle (2θ = 10–80°):
- 23.59°, d 3.772, rel. 11
- 25.79°, d 3.455, rel. 8
- 27.69°, d 3.222, rel. 8
- 30.53°, d 2.928, rel. 49
- 31.29°, d 2.859, rel. 100
- 43.75°, d 2.069, rel. 8
- 45.93°, d 1.976, rel. 9
- 54.74°, d 1.677, rel. 29
- 56.15°, d 1.638, rel. 19
- 65.28°, d 1.429, rel. 9

***

(5)
Simulated powder diffractogram of LaMgMn for Cu Kα, 1.54184 Å, from a structure optimized by DFT (PBE).

Cell and atoms:
```
data_LaMgMn
_chemical_formula_sum 'La1 Mg1 Mn1'
_space_group_name_H-M_alt 'P 3 m 1'
_space_group_IT_number 156
_cell_length_a 3.3135
_cell_length_b 3.3135
_cell_length_c 7.7635
_cell_angle_alpha 90.00
_cell_angle_beta 90.00
_cell_angle_gamma 120.00
loop_
_space_group_symop_operation_xyz
'x,y,z'
'-y,x-y,z'
'-x+y,-x,z'
'-y,-x,z'
'-x+y,y,z'
'x,x-y,z'
loop_
_atom_site_label
_atom_site_type_symbol
_atom_site_fract_x
_atom_site_fract_y
_atom_site_fract_z
La1 La 0.0000 0.0000 0.0000
Mg1 Mg 0.6667 0.3333 0.3903
Mn1 Mn 0.3333 0.6667 0.6751
```

Main lines, by angle (2θ = 10–80°):
- 11.40°, d 7.764, rel. 66
- 22.91°, d 3.882, rel. 18
- 31.17°, d 2.870, rel. 20
- 33.29°, d 2.692, rel. 100
- 34.66°, d 2.588, rel. 22
- 39.03°, d 2.308, rel. 61
- 47.30°, d 1.922, rel. 16
- 55.46°, d 1.657, rel. 18
- 57.31°, d 1.608, rel. 19
- 67.08°, d 1.395, rel. 18

***

(6)
Simulated powder diffractogram of LaMg6Mn for Cu Kα, 1.54184 Å, from a structure optimized by DFT (PBE).

Cell and atoms:
```
data_LaMg6Mn
_chemical_formula_sum 'La2 Mg12 Mn2'
_space_group_name_H-M_alt 'A m m 2'
_space_group_IT_number 38
_cell_length_a 5.015
_cell_length_b 6.116
_cell_length_c 12.798
_cell_angle_alpha 90.00
_cell_angle_beta 90.00
_cell_angle_gamma 90.00
loop_
_space_group_symop_operation_xyz
'x,y,z'
'-x,-y,z'
'-x,y,z'
'x,-y,z'
'x,y+1/2,z+1/2'
'-x,-y+1/2,z+1/2'
'-x,y+1/2,z+1/2'
'x,-y+1/2,z+1/2'
loop_
_atom_site_label
_atom_site_type_symbol
_atom_site_fract_x
_atom_site_fract_y
_atom_site_fract_z
La1 La 0.000 0.000 0.000
Mg1 Mg 0.000 0.244 0.741
Mg2 Mg 0.500 0.000 0.165
Mg3 Mg 0.500 0.000 0.594
Mg4 Mg 0.500 0.248 0.379
Mn1 Mn 0.000 0.000 0.434
```

Main lines, by angle (2θ = 10–80°):
- 13.84°, d 6.399, rel. 63
- 16.06°, d 5.518, rel. 35
- 17.69°, d 5.015, rel. 43
- 22.53°, d 3.947, rel. 40
- 23.98°, d 3.711, rel. 37
- 31.17°, d 2.870, rel. 55
- 32.45°, d 2.759, rel. 50
- 33.21°, d 2.697, rel. 68
- 35.81°, d 2.508, rel. 45
- 37.19°, d 2.417, rel. 100